This entry pairs a crystal structure of TaBe2Re with its computed powder X-ray diffraction pattern. Radiation: λ = 1.5418 Å (Cu Kα). Structure: a DFT-relaxed cell (GGA-PBE, Alexandria).
Intensities are scaled so that the largest is 100.

Most intense lines, 15 to 90 degrees two-theta, sorted by position:
2θ (°)  I/Imax  h k l
33.25  68  1 1 0
34.96  44  0 1 2
36.45  100  1 1 1
40.35  70  1 0 2
40.92  70  0 2 1
67.02  40  1 2 3

Crystal structure
Cell lengths 3.278, 4.729, 6.112 Å; angles 90.00, 90.00, 90.00 degrees
Space group Pmc2_1 (No. 26)
Asymmetric unit:
Ta 0.000 0.133 0.000 x2
Be 0.000 0.373 0.629 x2
Be 0.500 0.138 0.703 x2
Re 0.500 0.371 0.339 x2

This entry pairs a crystal structure of BeReTc with its computed powder X-ray diffraction pattern. Radiation: λ = 1.5418 Å (Cu Kα). Structure: a DFT-relaxed cell (GGA-PBE, Alexandria).
Intensities are scaled so that the largest is 100.

Most intense lines, 15 to 90 degrees two-theta, sorted by position:
2θ (°)  I/Imax  h k l
22.28  22  0 2 0
31.69  15  0 2 2
39.16  23  2 0 0
40.76  100  1 1 3
51.18  23  0 2 4
72.05  19  3 1 3

Crystal structure
Cell lengths 4.601, 7.981, 7.990 Å; angles 90.00, 90.00, 90.00 degrees
Space group Fmmm (No. 69)
Asymmetric unit:
Be 0.250 0.250 0.250 x8
Re 0.000 0.000 0.162 x8
Tc 0.000 0.162 0.500 x8

This entry pairs a crystal structure of UBe17Re with its computed powder X-ray diffraction pattern. Radiation: λ = 1.5418 Å (Cu Kα). Structure: a DFT-relaxed cell (GGA-PBE, Alexandria).
Intensities are scaled so that the largest is 100.

Most intense lines, 15 to 90 degrees two-theta, sorted by position:
2θ (°)  I/Imax  h k l
15.92  63  1 0 1
21.32  31  0 1 2
23.78  100  1 1 0
24.54  31  0 0 3
34.44  89  1 1 3
49.08  41  3 0 3

Crystal structure
Cell lengths 7.4842, 7.4842, 10.8810 Å; angles 90.00, 90.00, 120.00 degrees
Space group R3m (No. 160, hexagonal axes)
Asymmetric unit:
U 0.0000 0.0000 0.0000 x3
Be 0.0000 0.0000 0.5587 x3
Be 0.0000 0.0000 0.7526 x3
Be 0.0449 0.3709 0.3278 x18
Be 0.1675 0.3350 0.4949 x9
Be 0.1700 0.3400 0.1491 x9
Be 0.1710 0.3419 0.8388 x9
Re 0.0000 0.0000 0.3292 x3